No. 1
Diffraction record for MgHg5. The XRD peak list is computed, not measured: it uses the GGA-PBE geometry in the Materials Project and λ = 1.5418 Å (Cu Kα).

Largest 10 diffraction maxima, in order of rising 2θ, 2θ from 15° to 90°:
2θ 29.5, intensity 22
2θ 31.7, intensity 14
2θ 34.5, intensity 100
2θ 35.4, intensity 30
2θ 36.4, intensity 36
2θ 46.7, intensity 13
2θ 55.1, intensity 15
2θ 62.9, intensity 18
2θ 64.3, intensity 14
2θ 67.2, intensity 17

Structure:
```
data_MgHg5
_chemical_formula_sum 'Mg1 Hg5'
_cell_length_a 5.076
_cell_length_b 8.667
_cell_length_c 8.667
_cell_angle_alpha 23.84
_cell_angle_beta 90.00
_cell_angle_gamma 90.00
_space_group_name_H-M_alt 'P 1'
_space_group_IT_number 1
loop_
_space_group_symop_operation_xyz
'x,y,z'
loop_
_atom_site_label
_atom_site_fract_x
_atom_site_fract_y
_atom_site_fract_z
_atom_site_occupancy
Mg1 0.000 0.000 0.000 1
Hg1 0.000 0.340 0.340 1
Hg2 0.000 0.659 0.659 1
Hg3 0.500 0.113 0.113 1
Hg4 0.500 0.454 0.454 1
Hg5 0.500 0.778 0.778 1
```



No. 2
Diffraction record for La5Ge3O. The XRD peak list is computed, not measured: it uses the GGA-PBE geometry in the Materials Project and λ = 1.5418 Å (Cu Kα).

Largest 10 diffraction maxima, in order of rising 2θ, 2θ from 15° to 90°:
2θ 29.3, intensity 28
2θ 30.2, intensity 36
2θ 33.1, intensity 100
2θ 33.5, intensity 74
2θ 34.3, intensity 30
2θ 48.7, intensity 23
2θ 51.6, intensity 28
2θ 53.6, intensity 17
2θ 54.4, intensity 15
2θ 65.9, intensity 19

Structure:
```
data_La5Ge3O
_chemical_formula_sum 'La10 Ge6 O2'
_cell_length_a 9.052
_cell_length_b 9.052
_cell_length_c 6.629
_cell_angle_alpha 90.00
_cell_angle_beta 90.00
_cell_angle_gamma 120.00
_space_group_name_H-M_alt 'P 1'
_space_group_IT_number 1
loop_
_space_group_symop_operation_xyz
'x,y,z'
loop_
_atom_site_label
_atom_site_fract_x
_atom_site_fract_y
_atom_site_fract_z
_atom_site_occupancy
La1 0.000 0.229 0.250 1
La2 0.000 0.771 0.750 1
La3 0.229 0.000 0.250 1
La4 0.229 0.229 0.750 1
La5 0.333 0.667 0.000 1
La6 0.333 0.667 0.500 1
La7 0.667 0.333 0.000 1
La8 0.667 0.333 0.500 1
La9 0.771 0.000 0.750 1
La10 0.771 0.771 0.250 1
Ge1 0.000 0.395 0.750 1
Ge2 0.000 0.605 0.250 1
Ge3 0.395 0.000 0.750 1
Ge4 0.395 0.395 0.250 1
Ge5 0.605 0.000 0.250 1
Ge6 0.605 0.605 0.750 1
O1 0.000 0.000 0.000 1
O2 0.000 0.000 0.500 1
```



No. 3
Diffraction record for SmZnAg2. The XRD peak list is computed, not measured: it uses the GGA-PBE geometry in the Materials Project and λ = 1.5418 Å (Cu Kα).

Largest 10 diffraction maxima, in order of rising 2θ, 2θ from 15° to 90°:
2θ 22.1, intensity 7
2θ 36.5, intensity 100
2θ 43.1, intensity 4
2θ 52.6, intensity 17
2θ 57.7, intensity 2
2θ 65.7, intensity 34
2θ 70.2, intensity 1
2θ 77.6, intensity 10
2θ 81.8, intensity 1
2θ 88.9, intensity 15

Structure:
```
data_SmZnAg2
_chemical_formula_sum 'Sm1 Zn1 Ag2'
_cell_length_a 4.923
_cell_length_b 4.923
_cell_length_c 4.923
_cell_angle_alpha 60.00
_cell_angle_beta 60.00
_cell_angle_gamma 60.00
_space_group_name_H-M_alt 'P 1'
_space_group_IT_number 1
loop_
_space_group_symop_operation_xyz
'x,y,z'
loop_
_atom_site_label
_atom_site_fract_x
_atom_site_fract_y
_atom_site_fract_z
_atom_site_occupancy
Sm1 0.000 0.000 0.000 1
Zn1 0.500 0.500 0.500 1
Ag1 0.250 0.250 0.250 1
Ag2 0.750 0.750 0.750 1
```



No. 4
Diffraction record for CrSBr. The XRD peak list is computed, not measured: it uses the GGA-PBE geometry in the Materials Project and λ = 1.5418 Å (Cu Kα).

Largest 10 diffraction maxima, in order of rising 2θ, 2θ from 15° to 90°:
2θ 21.3, intensity 100
2θ 31.5, intensity 15
2θ 32.4, intensity 74
2θ 33.1, intensity 14
2θ 37.9, intensity 33
2θ 40.0, intensity 16
2θ 44.5, intensity 45
2θ 50.7, intensity 38
2θ 51.4, intensity 13
2θ 56.3, intensity 24

Structure:
```
data_CrSBr
_chemical_formula_sum 'Cr2 S2 Br2'
_cell_length_a 3.553
_cell_length_b 4.745
_cell_length_c 8.760
_cell_angle_alpha 90.00
_cell_angle_beta 90.00
_cell_angle_gamma 90.00
_space_group_name_H-M_alt 'P 1'
_space_group_IT_number 1
loop_
_space_group_symop_operation_xyz
'x,y,z'
loop_
_atom_site_label
_atom_site_fract_x
_atom_site_fract_y
_atom_site_fract_z
_atom_site_occupancy
Cr1 0.250 0.250 0.118 1
Cr2 0.750 0.750 0.882 1
S1 0.250 0.750 0.065 1
S2 0.750 0.250 0.935 1
Br1 0.250 0.750 0.677 1
Br2 0.750 0.250 0.323 1
```



No. 5
Diffraction record for CeP2O7. The XRD peak list is computed, not measured: it uses the GGA-PBE geometry in the Materials Project and λ = 1.5418 Å (Cu Kα).

Largest 10 diffraction maxima, in order of rising 2θ, 2θ from 15° to 90°:
2θ 17.2, intensity 47
2θ 19.9, intensity 100
2θ 22.3, intensity 20
2θ 24.5, intensity 19
2θ 28.3, intensity 40
2θ 33.4, intensity 51
2θ 44.3, intensity 17
2θ 45.5, intensity 33
2θ 50.2, intensity 26
2θ 53.5, intensity 27

Structure:
```
data_CeP2O7
_chemical_formula_sum 'Ce4 P8 O28'
_cell_length_a 8.907
_cell_length_b 8.907
_cell_length_c 8.907
_cell_angle_alpha 90.00
_cell_angle_beta 90.00
_cell_angle_gamma 90.00
_space_group_name_H-M_alt 'P 1'
_space_group_IT_number 1
loop_
_space_group_symop_operation_xyz
'x,y,z'
loop_
_atom_site_label
_atom_site_fract_x
_atom_site_fract_y
_atom_site_fract_z
_atom_site_occupancy
Ce1 0.000 0.000 0.000 1
Ce2 0.000 0.500 0.500 1
Ce3 0.500 0.000 0.500 1
Ce4 0.500 0.500 0.000 1
P1 0.103 0.603 0.897 1
P2 0.103 0.897 0.397 1
P3 0.397 0.103 0.897 1
P4 0.397 0.397 0.397 1
P5 0.603 0.603 0.603 1
P6 0.603 0.897 0.103 1
P7 0.897 0.103 0.603 1
P8 0.897 0.397 0.103 1
O1 0.000 0.000 0.500 1
O2 0.000 0.500 0.000 1
O3 0.056 0.735 0.428 1
O4 0.056 0.765 0.928 1
O5 0.072 0.556 0.735 1
O6 0.072 0.944 0.235 1
O7 0.235 0.072 0.944 1
O8 0.235 0.428 0.444 1
O9 0.265 0.572 0.944 1
O10 0.265 0.928 0.444 1
O11 0.428 0.056 0.735 1
O12 0.428 0.444 0.235 1
O13 0.444 0.235 0.428 1
O14 0.444 0.265 0.928 1
O15 0.500 0.000 0.000 1
O16 0.500 0.500 0.500 1
O17 0.556 0.735 0.072 1
O18 0.556 0.765 0.572 1
O19 0.572 0.556 0.765 1
O20 0.572 0.944 0.265 1
O21 0.735 0.072 0.556 1
O22 0.735 0.428 0.056 1
O23 0.765 0.572 0.556 1
O24 0.765 0.928 0.056 1
O25 0.928 0.056 0.765 1
O26 0.928 0.444 0.265 1
O27 0.944 0.235 0.072 1
O28 0.944 0.265 0.572 1
```



No. 6
Diffraction record for NaPmTe2. The XRD peak list is computed, not measured: it uses the GGA-PBE geometry in the Materials Project and λ = 1.5418 Å (Cu Kα).

Largest 10 diffraction maxima, in order of rising 2θ, 2θ from 15° to 90°:
2θ 19.8, intensity 20
2θ 22.9, intensity 4
2θ 32.5, intensity 100
2θ 38.4, intensity 11
2θ 46.7, intensity 18
2θ 51.2, intensity 5
2θ 58.1, intensity 38
2θ 68.2, intensity 11
2θ 77.6, intensity 16
2θ 86.7, intensity 4

Structure:
```
data_NaPmTe2
_chemical_formula_sum 'Na1 Pm1 Te2'
_cell_length_a 5.502
_cell_length_b 5.502
_cell_length_c 5.502
_cell_angle_alpha 60.00
_cell_angle_beta 60.00
_cell_angle_gamma 60.00
_space_group_name_H-M_alt 'P 1'
_space_group_IT_number 1
loop_
_space_group_symop_operation_xyz
'x,y,z'
loop_
_atom_site_label
_atom_site_fract_x
_atom_site_fract_y
_atom_site_fract_z
_atom_site_occupancy
Na1 0.000 0.000 0.000 1
Pm1 0.500 0.500 0.500 1
Te1 0.250 0.250 0.250 1
Te2 0.750 0.750 0.750 1
```